(1)
The following is a simulated X-ray powder pattern of PrOsRu. It was derived from a structure optimized by DFT (PBE), using copper Kα.

Crystal structure
a = 5.2110 Å, b = 5.6395 Å, c = 7.8201 Å
α = 90.00°, β = 90.00°, γ = 90.00°
Space group Imma (No. 74)
Symmetry-distinct sites (fractional):
1 Pr 0.0000 0.2500 0.1242 x4
2 Os 0.2500 0.2500 0.7500 x4
3 Ru 0.0000 0.0000 0.5000 x4

The 12 most intense peaks (15° ≤ 2θ ≤ 90°), by intensity:
2θ (°)  d (Å)  I (rel.)  h k l
38.0  2.365  100  0 1 3
39.8  2.264  87  2 1 1
39.4  2.287  45  0 2 2
41.7  2.168  40  2 0 2
68.6  1.368  40  2 2 4
32.7  2.735  36  1 1 2
62.0  1.497  30  2 3 1
31.7  2.820  25  0 2 0
19.4  4.574  24  0 1 1
38.6  2.331  23  1 0 3
81.4  1.182  21  0 2 6
60.7  1.525  13  0 3 3

(2)
The following is a simulated X-ray powder pattern of FeSiBP. It was derived from a structure optimized by DFT (PBE), using copper Kα.

Crystal structure
a = 3.1171 Å, b = 2.6002 Å, c = 11.6657 Å
α = 90.00°, β = 90.00°, γ = 90.00°
Space group Amm2 (No. 38)
Symmetry-distinct sites (fractional):
1 Fe 0.0000 0.0000 0.0000 x2
2 Si 0.5000 0.0000 0.6032 x2
3 B 0.5000 0.0000 0.2511 x2
4 P 0.0000 0.0000 0.3454 x2

The 12 most intense peaks (15° ≤ 2θ ≤ 90°), by intensity:
2θ (°)  d (Å)  I (rel.)  h k l
15.2  5.833  100  0 0 2
32.6  2.749  81  1 0 2
41.8  2.162  75  0 1 3
51.4  1.776  57  1 1 3
46.1  1.968  57  1 1 1
55.7  1.650  41  1 0 6
28.6  3.117  29  1 0 0
52.7  1.737  25  0 1 5
75.2  1.264  24  2 1 3
42.4  2.130  20  1 0 4
59.3  1.559  18  2 0 0
83.3  1.160  16  2 1 5

(3)
The following is a simulated X-ray powder pattern of TbErP2Ir5. It was derived from a structure optimized by DFT (PBE), using copper Kα.

Crystal structure
a = 4.0060 Å, b = 4.0060 Å, c = 11.0196 Å
α = 90.00°, β = 90.00°, γ = 90.00°
Space group P4/mmm (No. 123)
Symmetry-distinct sites (fractional):
1 Tb 0.0000 0.0000 0.0000 x1
2 Er 0.0000 0.0000 0.5000 x1
3 P 0.5000 0.5000 0.2068 x2
4 Ir 0.0000 0.5000 0.3054 x4
5 Ir 0.5000 0.5000 0.0000 x1

The 12 most intense peaks (15° ≤ 2θ ≤ 90°), by intensity:
2θ (°)  d (Å)  I (rel.)  h k l
35.6  2.519  100  1 1 2
45.3  2.003  42  2 0 0
24.2  3.673  38  0 0 3
52.6  1.739  30  1 1 5
32.6  2.743  24  1 1 1
77.3  1.235  22  3 1 2
52.0  1.759  20  2 0 3
77.0  1.239  18  1 1 8
40.2  2.243  18  1 1 3
89.2  1.098  14  3 1 5
66.0  1.416  14  2 2 0
32.5  2.755  13  0 0 4